The following is a calculated X-ray powder pattern of MgFe2W2Cl2O8. It was derived from a crystal structure in the Materials Project, relaxed with GGA+U, using Cu Kα (λ = 1.5418 Å).
Intensities are scaled so that the largest is 100.

Cell and atoms:
a = 7.139 Å, b = 7.139 Å, c = 5.196 Å
α = 91.14°, β = 91.14°, γ = 89.72°
Atoms (fractional coordinates):
Mg 0.000 0.000 0.000
Fe 0.251 0.251 0.310
Fe 0.749 0.749 0.690
W 0.241 0.759 0.500
W 0.759 0.241 0.500
Cl 0.227 0.227 0.808
Cl 0.773 0.773 0.192
O 0.054 0.784 0.737
O 0.216 0.946 0.263
O 0.224 0.535 0.337
O 0.465 0.776 0.663
O 0.535 0.224 0.337
O 0.776 0.465 0.663
O 0.784 0.054 0.737
O 0.946 0.216 0.263

Largest 10 diffraction maxima, by angle, 2θ = 15–90°:
d/Å	2θ/deg	I (rel.)
5.194	17.07	58.4
5.051	17.56	28.7
3.676	24.21	19.3
3.616	24.62	46.1
3.570	24.94	100.0
2.969	30.10	30.2
2.915	30.67	30.7
2.337	38.52	13.5
2.308	39.02	19.4
1.785	51.18	18.4

=====

The following is a calculated X-ray powder pattern of MgFe2W2Cl2O8. It was derived from a crystal structure in the Materials Project, relaxed with GGA+U, using Cu Kα (λ = 1.5418 Å).
Intensities are scaled so that the largest is 100.

Cell and atoms:
a = 6.942 Å, b = 6.942 Å, c = 5.692 Å
α = 90.00°, β = 90.00°, γ = 90.00°
Atoms (fractional coordinates):
Mg 0.000 0.000 0.000
Fe 0.000 0.500 0.246
Fe 0.500 0.000 0.754
W 0.000 0.000 0.500
W 0.500 0.500 0.500
Cl 0.000 0.500 0.816
Cl 0.500 0.000 0.184
O 0.000 0.191 0.281
O 0.000 0.809 0.281
O 0.191 0.000 0.719
O 0.285 0.500 0.318
O 0.500 0.285 0.682
O 0.500 0.715 0.682
O 0.715 0.500 0.318
O 0.809 0.000 0.719

Largest 10 diffraction maxima, by angle, 2θ = 15–90°:
d/Å	2θ/deg	I (rel.)
5.692	15.57	53.6
4.909	18.07	34.2
3.717	23.94	96.2
3.471	25.66	100.0
2.964	30.16	35.0
2.462	36.49	61.3
2.454	36.61	24.5
2.048	44.22	34.1
1.738	52.68	67.2
1.228	77.78	16.7

=====

The following is a calculated X-ray powder pattern of MgFe2W2Cl2O8. It was derived from a crystal structure in the Materials Project, relaxed with GGA+U, using Cu Kα (λ = 1.5418 Å).
Intensities are scaled so that the largest is 100.

Cell and atoms:
a = 7.193 Å, b = 7.193 Å, c = 5.458 Å
α = 91.09°, β = 91.09°, γ = 92.81°
Atoms (fractional coordinates):
Mg 0.000 0.000 0.000
Fe 0.299 0.299 0.168
Fe 0.770 0.770 0.638
W 0.298 0.776 0.887
W 0.776 0.298 0.887
Cl 0.267 0.267 0.592
Cl 0.788 0.788 0.195
O 0.068 0.792 0.736
O 0.277 0.986 0.084
O 0.299 0.575 0.076
O 0.491 0.786 0.681
O 0.575 0.299 0.076
O 0.786 0.491 0.681
O 0.792 0.068 0.736
O 0.986 0.277 0.084

Largest 10 diffraction maxima, by angle, 2θ = 15–90°:
d/Å	2θ/deg	I (rel.)
5.456	16.25	76.0
4.958	17.89	20.0
3.768	23.61	57.9
3.721	23.92	28.7
3.620	24.59	39.7
3.592	24.79	100.0
3.028	29.50	26.9
2.973	30.06	15.9
2.417	37.19	47.1
1.796	50.85	19.0